Diffraction record for La2ZnCr. The powder diffractogram is theoretical, not measured: it uses a DFT-relaxed cell (GGA-PBE, Alexandria) and copper Kα.

Principal peaks in the range 10° ≤ 2θ ≤ 80°, most intense first:
31.1 deg, 2.875 Å, rel. 100, (1 1 -1); 32.7 deg, 2.735 Å, rel. 56, (1 0 1); 23.8 deg, 3.733 Å, rel. 41, (0 1 1); 35.5 deg, 2.530 Å, rel. 37, (0 1 2); 37.9 deg, 2.375 Å, rel. 36, (1 1 1); 37.6 deg, 2.395 Å, rel. 33, (0 2 0); 50.7 deg, 1.802 Å, rel. 32, (1 2 1); 30.0 deg, 2.979 Å, rel. 20, (0 0 2); 72.6 deg, 1.302 Å, rel. 17, (1 2 3); 48.3 deg, 1.885 Å, rel. 16, (2 0 -1)

Structure:
```
data_La2ZnCr
_chemical_formula_sum 'La2 Zn1 Cr1'
_symmetry_space_group_name_H-M 'P 1 m 1'
_symmetry_Int_Tables_number 6
_symmetry_space_group_name_Hall 'P -2y'
_cell_length_a 3.7703
_cell_length_b 4.7902
_cell_length_c 6.2461
_cell_angle_alpha 90.00
_cell_angle_beta 107.47
_cell_angle_gamma 90.00
loop_
_atom_site_label
_atom_site_type_symbol
_atom_site_fract_x
_atom_site_fract_y
_atom_site_fract_z
La1 La 0.0000 0.0000 0.0000
La2 La 0.2953 0.5000 0.5915
Zn1 Zn 0.5834 0.5000 0.1659
Cr1 Cr 0.7077 0.0000 0.4159
```